# MgAlB14
Calculated X-ray powder pattern, Cu Ka. Input: a structure optimized by DFT (GGA-PBE).

Main lines, in order of rising 2θ (2θ = 10–90°):
d_spacing, I_rel, hkl
6.389, 52, 0 1 1
3.512, 42, 1 2 1
2.683, 51, 2 1 1
2.222, 67, 1 2 3
2.183, 29, 0 4 2
2.170, 35, 2 2 2
2.164, 100, 2 3 1
2.130, 37, 0 3 3
1.727, 38, 0 6 0
1.593, 29, 3 0 3

Structural model:
```
data_MgAlB14
_symmetry_space_group_name_H-M 'I m m a'
_symmetry_Int_Tables_number 74
_symmetry_space_group_name_Hall '-I 2b 2'
_cell_length_a 5.913
_cell_length_b 10.359
_cell_length_c 8.117
_cell_angle_alpha 90.00
_cell_angle_beta 90.00
_cell_angle_gamma 90.00
loop_
_atom_site_label
_atom_site_fract_x
_atom_site_fract_y
_atom_site_fract_z
Mg1 0.000 0.250 0.152
Al1 0.250 0.250 0.750
B1 0.000 0.087 0.672
B2 0.000 0.149 0.883
B3 0.000 0.167 0.469
B4 0.160 0.063 0.336
B5 0.246 0.081 0.546
```